1.
# Sr4BiTe2Cl
Simulated powder diffraction line list, Cu Ka. Input: a DFT-relaxed cell (PBE, Alexandria).

Atomic structure:
a = 8.205 Å, b = 6.668 Å, c = 8.203 Å
α = 66.03°, β = 47.96°, γ = 66.01°
Fractional coordinates of all 8 atoms:
Sr1 0.246 0.754 0.246
Sr2 0.500 0.998 0.500
Sr3 0.754 0.246 0.754
Sr4 0.998 0.500 0.002
Bi1 0.000 0.000 0.000
Te1 0.250 0.250 0.250
Te2 0.750 0.750 0.750
Cl1 0.501 0.501 0.499

Principal peaks in the range 15° ≤ 2θ ≤ 90°, in order of rising 2θ:
26.55°, 3.357 Å, intensity 50.8
26.74°, 3.334 Å, intensity 100.0
38.04°, 2.365 Å, intensity 78.2
38.18°, 2.357 Å, intensity 38.8
47.11°, 1.929 Å, intensity 42.2
61.89°, 1.499 Å, intensity 18.5
62.20°, 1.492 Å, intensity 27.5
68.64°, 1.367 Å, intensity 13.6
68.91°, 1.363 Å, intensity 27.0
87.52°, 1.115 Å, intensity 14.7


2.
# BiTeCl6
Simulated powder diffraction line list, Cu Ka. Input: a DFT-relaxed cell (PBE, Alexandria).

Atomic structure:
a = 6.604 Å, b = 6.899 Å, c = 7.212 Å
α = 64.70°, β = 89.34°, γ = 62.17°
Fractional coordinates of all 8 atoms:
Bi1 0.000 0.000 0.000
Te1 0.500 0.000 0.500
Cl1 0.108 0.531 0.235
Cl2 0.264 0.829 0.742
Cl3 0.421 0.849 0.255
Cl4 0.579 0.151 0.745
Cl5 0.736 0.171 0.258
Cl6 0.892 0.469 0.765

Principal peaks in the range 15° ≤ 2θ ≤ 90°, in order of rising 2θ:
16.53°, 5.362 Å, intensity 100.0
18.21°, 4.872 Å, intensity 86.0
18.37°, 4.830 Å, intensity 83.8
23.37°, 3.807 Å, intensity 43.2
23.90°, 3.723 Å, intensity 33.3
24.90°, 3.576 Å, intensity 36.9
36.55°, 2.458 Å, intensity 22.4
37.20°, 2.417 Å, intensity 42.5
40.11°, 2.248 Å, intensity 22.6
44.78°, 2.024 Å, intensity 20.8


3.
# Bi3Te2Cl10
Simulated powder diffraction line list, Cu Ka. Input: a DFT-relaxed cell (PBE, Alexandria).

Atomic structure:
a = 7.713 Å, b = 9.583 Å, c = 14.516 Å
α = 77.95°, β = 79.81°, γ = 86.45°
Fractional coordinates of all 30 atoms:
Bi1 0.083 0.486 0.169
Bi2 0.178 0.995 0.757
Bi3 0.359 0.224 0.980
Bi4 0.641 0.776 0.020
Bi5 0.822 0.005 0.243
Bi6 0.917 0.514 0.831
Te1 0.361 0.347 0.489
Te2 0.386 0.629 0.407
Te3 0.614 0.371 0.593
Te4 0.639 0.653 0.511
Cl1 0.031 0.906 0.356
Cl2 0.050 0.130 0.059
Cl3 0.071 0.482 0.351
Cl4 0.189 0.733 0.731
Cl5 0.214 0.281 0.813
Cl6 0.232 0.501 0.967
Cl7 0.300 0.697 0.145
Cl8 0.333 0.294 0.176
Cl9 0.434 0.978 0.902
Cl10 0.453 0.049 0.626
Cl11 0.547 0.951 0.374
Cl12 0.566 0.022 0.098
Cl13 0.667 0.706 0.824
Cl14 0.700 0.303 0.855
Cl15 0.768 0.499 0.033
Cl16 0.786 0.719 0.187
Cl17 0.811 0.267 0.269
Cl18 0.929 0.518 0.649
Cl19 0.950 0.870 0.941
Cl20 0.969 0.094 0.644

Principal peaks in the range 15° ≤ 2θ ≤ 90°, in order of rising 2θ:
15.72°, 5.638 Å, intensity 50.6
16.49°, 5.375 Å, intensity 100.0
17.60°, 5.040 Å, intensity 95.9
18.64°, 4.760 Å, intensity 55.6
19.47°, 4.558 Å, intensity 44.2
19.83°, 4.478 Å, intensity 30.7
20.60°, 4.313 Å, intensity 60.8
25.34°, 3.514 Å, intensity 40.9
29.86°, 2.992 Å, intensity 40.0
45.03°, 2.013 Å, intensity 39.4


4.
# TiBi3Cl
Simulated powder diffraction line list, Cu Ka. Input: a DFT-relaxed cell (PBE, Alexandria).

Atomic structure:
a = 5.370 Å, b = 5.370 Å, c = 5.370 Å
α = 90.00°, β = 90.00°, γ = 90.00°
Fractional coordinates of all 5 atoms:
Ti1 0.000 0.000 0.000
Bi1 0.000 0.000 0.500
Bi2 0.000 0.500 0.000
Bi3 0.500 0.000 0.000
Cl1 0.500 0.500 0.500

Principal peaks in the range 15° ≤ 2θ ≤ 90°, in order of rising 2θ:
16.51°, 5.370 Å, intensity 35.4
28.79°, 3.101 Å, intensity 100.0
33.37°, 2.685 Å, intensity 69.0
37.45°, 2.402 Å, intensity 19.7
47.91°, 1.899 Å, intensity 50.5
56.86°, 1.619 Å, intensity 46.7
59.64°, 1.550 Å, intensity 17.6
77.47°, 1.232 Å, intensity 19.8
79.88°, 1.201 Å, intensity 23.6
89.38°, 1.096 Å, intensity 18.8


5.
# Ti2BiCl
Simulated powder diffraction line list, Cu Ka. Input: a DFT-relaxed cell (PBE, Alexandria).

Atomic structure:
a = 6.767 Å, b = 6.767 Å, c = 6.767 Å
α = 90.00°, β = 90.00°, γ = 90.00°
Fractional coordinates of all 16 atoms:
Ti1 0.250 0.250 0.250
Ti2 0.250 0.250 0.750
Ti3 0.250 0.750 0.250
Ti4 0.250 0.750 0.750
Ti5 0.750 0.250 0.250
Ti6 0.750 0.250 0.750
Ti7 0.750 0.750 0.250
Ti8 0.750 0.750 0.750
Bi1 0.000 0.000 0.000
Bi2 0.000 0.500 0.500
Bi3 0.500 0.000 0.500
Bi4 0.500 0.500 0.000
Cl1 0.000 0.000 0.500
Cl2 0.000 0.500 0.000
Cl3 0.500 0.000 0.000
Cl4 0.500 0.500 0.500

Principal peaks in the range 15° ≤ 2θ ≤ 90°, in order of rising 2θ:
22.76°, 3.907 Å, intensity 58.7
26.34°, 3.384 Å, intensity 23.6
37.59°, 2.393 Å, intensity 100.0
44.40°, 2.040 Å, intensity 33.8
54.21°, 1.692 Å, intensity 16.9
59.54°, 1.553 Å, intensity 14.8
67.84°, 1.381 Å, intensity 34.0
72.59°, 1.302 Å, intensity 11.4
80.24°, 1.196 Å, intensity 10.7
84.74°, 1.144 Å, intensity 11.9


6.
# Tl2BiCl5
Simulated powder diffraction line list, Cu Ka. Input: a DFT-relaxed cell (PBE, Alexandria).

Atomic structure:
a = 12.199 Å, b = 7.911 Å, c = 7.955 Å
α = 90.00°, β = 129.53°, γ = 90.00°
Fractional coordinates of all 16 atoms:
Tl1 0.000 0.000 0.000
Tl2 0.001 0.500 0.469
Tl3 0.500 0.500 0.000
Tl4 0.501 0.000 0.469
Bi1 0.316 0.500 0.328
Bi2 0.816 0.000 0.328
Cl1 0.053 0.500 0.096
Cl2 0.309 0.257 0.080
Cl3 0.309 0.743 0.080
Cl4 0.339 0.259 0.591
Cl5 0.339 0.741 0.591
Cl6 0.553 0.000 0.096
Cl7 0.809 0.243 0.080
Cl8 0.809 0.757 0.080
Cl9 0.839 0.241 0.591
Cl10 0.839 0.759 0.591

Principal peaks in the range 15° ≤ 2θ ≤ 90°, in order of rising 2θ:
15.80°, 5.609 Å, intensity 25.5
18.86°, 4.705 Å, intensity 31.4
22.36°, 3.977 Å, intensity 46.1
22.48°, 3.955 Å, intensity 49.4
24.52°, 3.630 Å, intensity 86.1
24.88°, 3.579 Å, intensity 93.9
29.50°, 3.028 Å, intensity 29.7
31.91°, 2.804 Å, intensity 100.0
40.99°, 2.202 Å, intensity 52.2
51.04°, 1.789 Å, intensity 25.5


7.
# Tl3BiCl6
Simulated powder diffraction line list, Cu Ka. Input: a DFT-relaxed cell (PBE, Alexandria).

Atomic structure:
a = 9.317 Å, b = 9.317 Å, c = 7.670 Å
α = 90.00°, β = 90.00°, γ = 90.00°
Fractional coordinates of all 20 atoms:
Tl1 0.000 0.000 0.000
Tl2 0.000 0.000 0.500
Tl3 0.227 0.494 0.000
Tl4 0.494 0.773 0.500
Tl5 0.506 0.227 0.500
Tl6 0.773 0.506 0.000
Bi1 0.000 0.500 0.500
Bi2 0.500 0.000 0.000
Cl1 0.007 0.704 0.244
Cl2 0.007 0.704 0.756
Cl3 0.293 0.493 0.500
Cl4 0.296 0.007 0.256
Cl5 0.296 0.007 0.744
Cl6 0.493 0.707 0.000
Cl7 0.507 0.293 0.000
Cl8 0.704 0.993 0.256
Cl9 0.704 0.993 0.744
Cl10 0.707 0.507 0.500
Cl11 0.993 0.296 0.244
Cl12 0.993 0.296 0.756

Principal peaks in the range 15° ≤ 2θ ≤ 90°, in order of rising 2θ:
19.05°, 4.658 Å, intensity 58.5
21.33°, 4.167 Å, intensity 61.3
22.33°, 3.982 Å, intensity 42.8
23.19°, 3.835 Å, intensity 52.7
24.31°, 3.661 Å, intensity 76.1
30.18°, 2.961 Å, intensity 34.4
31.71°, 2.822 Å, intensity 100.0
36.70°, 2.449 Å, intensity 57.4
38.66°, 2.329 Å, intensity 45.6
45.57°, 1.991 Å, intensity 36.2


8.
# Tl4BiCl7
Simulated powder diffraction line list, Cu Ka. Input: a DFT-relaxed cell (PBE, Alexandria).

Atomic structure:
a = 11.169 Å, b = 11.169 Å, c = 7.623 Å
α = 107.21°, β = 107.21°, γ = 27.79°
Fractional coordinates of all 12 atoms:
Tl1 0.086 0.086 0.133
Tl2 0.198 0.198 0.747
Tl3 0.802 0.802 0.253
Tl4 0.914 0.914 0.867
Bi1 0.500 0.500 0.500
Cl1 0.000 0.000 0.500
Cl2 0.222 0.222 0.162
Cl3 0.390 0.390 0.602
Cl4 0.424 0.424 0.143
Cl5 0.576 0.576 0.857
Cl6 0.610 0.610 0.398
Cl7 0.778 0.778 0.838

Principal peaks in the range 15° ≤ 2θ ≤ 90°, in order of rising 2θ:
21.00°, 4.231 Å, intensity 95.0
21.80°, 4.078 Å, intensity 98.9
22.25°, 3.996 Å, intensity 99.9
23.37°, 3.807 Å, intensity 87.4
24.00°, 3.708 Å, intensity 93.0
25.03°, 3.558 Å, intensity 100.0
29.26°, 3.052 Å, intensity 64.4
31.13°, 2.873 Å, intensity 62.9
33.41°, 2.682 Å, intensity 84.2
34.70°, 2.585 Å, intensity 64.0